Simulated powder XRD pattern of Li3LaO3 for copper Kα, from a crystal structure in the Materials Project, relaxed with GGA-PBE.
Kinematic intensities with the Lorentz-polarization factor, no thermal factor.

Most intense lines, 2θ from 10° to 80°, by angle:
(0 0 2), 15.88 deg, rel. 67
(1 0 1), 18.65 deg, rel. 76
(1 1 0), 29.41 deg, rel. 57
(2 -1 2), 33.60 deg, rel. 100
(2 -1 4), 44.08 deg, rel. 59
(3 0 0), 52.17 deg, rel. 33

Structure:
```
28
Lattice="6.073 0.000 0.000 -3.036 5.259 0.000 0.000 0.000 11.159" Properties=species:S:1:pos:R:3 pbc="T T T"
Li -0.753 1.918 0.643
Li -1.751 3.648 4.937
Li 0.753 1.918 4.937
Li -0.999 4.952 0.643
Li 2.038 0.307 6.223
Li 1.285 1.611 10.516
Li 1.751 3.648 0.643
Li 0.999 4.952 4.937
Li 4.035 0.307 10.516
Li 2.284 3.341 6.223
Li 4.788 1.611 6.223
Li 3.789 3.341 10.516
La 0.000 0.000 2.790
La 0.000 0.000 8.369
La 0.000 3.506 8.369
La 3.036 1.753 2.790
O -0.794 1.749 9.851
O -1.919 3.697 6.888
O 0.794 1.749 6.888
O -1.125 5.072 9.851
O 1.912 0.187 4.272
O 1.118 1.562 1.308
O 1.919 3.697 9.851
O 1.125 5.072 6.888
O 4.161 0.187 1.308
O 2.242 3.510 4.272
O 4.955 1.562 4.272
O 3.830 3.510 1.308
```

Simulated powder XRD pattern of Li2La4O7 for copper Kα, from a crystal structure in the Materials Project, relaxed with GGA-PBE.
Kinematic intensities with the Lorentz-polarization factor, no thermal factor.

Most intense lines, 2θ from 10° to 80°, by angle:
(0 0 1), 11.78 deg, rel. 100
(1 1 0), 28.02 deg, rel. 96
(1 0 2), 28.75 deg, rel. 92
(2 -1 1), 30.49 deg, rel. 45
(2 0 2), 40.58 deg, rel. 41
(3 -1 2), 50.04 deg, rel. 42

Structure:
```
13
Lattice="6.368 0.000 0.000 -3.184 5.515 0.000 0.000 0.000 7.515" Properties=species:S:1:pos:R:3 pbc="T T T"
Li 0.000 3.676 0.000
Li 3.184 1.838 0.000
La 0.000 0.000 2.087
La 0.000 0.000 5.428
La 0.000 3.676 3.758
La 3.184 1.838 3.758
O 0.000 0.000 0.000
O -1.161 2.010 5.107
O -2.023 3.504 2.408
O 2.321 0.000 5.107
O 1.161 2.010 2.408
O 4.047 0.000 2.408
O 2.023 3.504 5.107
```

Simulated powder XRD pattern of LiLa2OsO6 for copper Kα, from a crystal structure in the Materials Project, relaxed with GGA-PBE.
Kinematic intensities with the Lorentz-polarization factor, no thermal factor.

Most intense lines, 2θ from 10° to 80°, by angle:
(0 1 1), 18.93 deg, rel. 75
(1 0 -2), 19.47 deg, rel. 67
(1 1 1), 31.64 deg, rel. 100
(1 1 -3), 31.75 deg, rel. 100
(2 0 -2), 32.07 deg, rel. 51
(2 2 -2), 45.01 deg, rel. 43

Structure:
```
20
Lattice="5.582 0.000 0.000 0.000 5.820 0.000 -5.543 0.000 7.914" Properties=species:S:1:pos:R:3 pbc="T T T"
Li 0.000 0.000 0.000
Li -2.772 2.910 3.957
La -2.832 0.347 5.925
La -0.060 2.563 1.968
La 0.098 3.257 5.946
La 2.870 5.473 1.989
Os 0.019 0.000 3.957
Os 2.791 2.910 0.000
O -1.599 1.103 3.597
O -4.371 1.807 7.554
O -1.021 4.162 3.558
O -3.792 4.568 7.515
O 0.520 0.167 2.040
O -2.252 2.744 5.997
O 2.290 3.077 1.917
O -0.482 5.654 5.874
O 3.831 1.252 0.399
O 1.059 1.658 4.356
O 4.409 4.013 0.360
O 1.637 4.717 4.317
```

Simulated powder XRD pattern of LiLa2RuO6 for copper Kα, from a crystal structure in the Materials Project, relaxed with GGA-PBE.
Kinematic intensities with the Lorentz-polarization factor, no thermal factor.

Most intense lines, 2θ from 10° to 80°, by angle:
(0 1 1), 19.01 deg, rel. 20
(0 2 0), 30.86 deg, rel. 20
(1 1 -3), 31.82 deg, rel. 100
(2 0 -2), 32.16 deg, rel. 26
(2 2 -2), 45.17 deg, rel. 22
(0 2 3), 46.68 deg, rel. 18

Structure:
```
20
Lattice="5.567 0.000 0.000 0.000 5.795 0.000 -5.542 0.000 7.883" Properties=species:S:1:pos:R:3 pbc="T T T"
Li 0.000 0.000 0.000
Li -2.771 2.897 3.942
La -2.830 0.345 5.902
La -0.059 2.552 1.960
La 0.083 3.243 5.923
La 2.854 5.450 1.981
Ru 0.012 0.000 3.942
Ru 2.783 2.897 0.000
O -1.599 1.100 3.589
O -4.370 1.797 7.530
O -1.031 4.143 3.554
O -3.802 4.549 7.496
O 0.504 0.158 2.030
O -2.267 2.740 5.972
O 2.292 3.055 1.911
O -0.480 5.637 5.853
O 3.826 1.245 0.387
O 1.055 1.652 4.329
O 4.394 3.998 0.353
O 1.623 4.695 4.294
```